This entry pairs a crystal structure of Ca2Fe7O11 with its simulated XRD peak list. Radiation: Cu Ka. Structure: a cell relaxed with PBE+U.
No peak broadening, texture or thermal motion is included.

Main lines, by intensity (2θ = 10–90°):
| d/Å | I (rel.) |
| --- | --- |
| 2.616 | 100 |
| 2.644 | 89 |
| 2.127 | 88 |
| 2.218 | 61 |
| 6.921 | 59 |
| 2.533 | 58 |
| 2.242 | 58 |
| 2.168 | 55 |
| 1.520 | 43 |
| 2.629 | 42 |

Structure:
abc: 5.2905 5.2905 14.1032
angles: 100.57 100.57 33.40
Element x y z (fractional)
Ca  0.0820  0.0820  0.2216
Ca  0.9180  0.9180  0.7784
Fe  0.1358  0.1358  0.6508
Fe  0.2030  0.2030  0.9078
Fe  0.3773  0.3773  0.5482
Fe  0.5000  0.5000  0.0000
Fe  0.6227  0.6227  0.4518
Fe  0.7970  0.7970  0.0922
Fe  0.8642  0.8642  0.3492
O  0.0000  0.0000  0.5000
O  0.1634  0.1634  0.0424
O  0.2474  0.2474  0.7803
O  0.2597  0.2597  0.4043
O  0.4291  0.4291  0.1207
O  0.4897  0.4897  0.3238
O  0.5103  0.5103  0.6762
O  0.5709  0.5709  0.8793
O  0.7403  0.7403  0.5957
O  0.7526  0.7526  0.2197
O  0.8366  0.8366  0.9576